Calculated powder X-ray diffraction pattern of Tb6Dy3Ho2Sc for copper Kα, from the PBE geometry in Alexandria.
No peak broadening, texture or thermal motion is included.

Cell and atoms:
a = 6.108 Å, b = 6.108 Å, c = 11.667 Å
α = 94.99°, β = 94.99°, γ = 119.97°
Fractional positions:
Tb  0.082  0.413  0.247
Tb  0.249  0.249  0.753
Tb  0.413  0.082  0.247
Tb  0.587  0.918  0.753
Tb  0.751  0.751  0.247
Tb  0.918  0.587  0.753
Dy  0.166  0.834  0.500
Dy  0.500  0.500  0.500
Dy  0.834  0.166  0.500
Ho  0.333  0.667  0.000
Ho  0.667  0.333  0.000
Sc  0.000  0.000  0.000

Top 10 peaks for 5 to 70 degrees two-theta, most intense first:
d/Å, I_rel
2.877, 100
2.492, 51
1.503, 32
1.762, 30
1.501, 10
1.439, 9
1.760, 6
1.436, 3
11.489, 1
5.230, 1